This entry pairs a crystal structure of BeNiF with its theoretical powder XRD pattern. Radiation: Cu Kα X-rays. Structure: a structure optimized by DFT (PBE+U).
Intensities are scaled so that the largest is 100.

Cell: 12.2037 2.4317 4.8766 Å, 90.00 90.00 90.00°
Space group Amm2 (No. 38)
Symmetry-distinct sites (fractional):
Be 0.0000 0.0000 0.0000 x2
Be 0.5000 0.0000 0.2857 x2
Ni 0.1399 0.0000 0.3041 x4
F 0.4114 0.0000 0.7856 x4

Top 10 peaks for 2θ = 10–80°, by angle:
d/Å  2θ (°)  I/Imax  index
4.068  21.8  100.0  3 0 0
3.051  29.3  69.8  4 0 0
2.438  36.9  60.5  0 0 2
2.176  41.5  27.6  0 1 1
2.142  42.2  65.7  1 1 1
2.091  43.3  38.3  3 0 2
1.919  47.4  62.5  3 1 1
1.905  47.7  39.1  4 0 2
1.772  51.6  27.9  4 1 1
1.486  62.5  18.5  6 1 1